The following is a simulated powder diffraction line list of LiMnF4. It was derived from a structure optimized by DFT (PBE+U), using Cu Kα (λ = 1.5418 Å).
Peak positions follow from Bragg's law for the DFT cell and can differ from measured ones.

Structure:
Lattice parameters (Å, degrees): 7.6285 10.0801 7.5764 90.00 90.00 90.00
Space group Pmn2_1 (No. 31)
Inequivalent atoms, fractional coordinates:
Li  0.0000  0.2040  0.0000 (multiplicity 2)
Li  0.0000  0.2305  0.5733 (multiplicity 2)
Li  0.0000  0.7088  0.7581 (multiplicity 2)
Li  0.0000  0.7289  0.3283 (multiplicity 2)
Mn  0.2457  0.4913  0.0800 (multiplicity 4)
Mn  0.2495  0.9904  0.8319 (multiplicity 4)
F  0.0000  0.3981  0.0793 (multiplicity 2)
F  0.0000  0.4284  0.5575 (multiplicity 2)
F  0.0000  0.9035  0.7986 (multiplicity 2)
F  0.0000  0.9258  0.3576 (multiplicity 2)
F  0.1611  0.1546  0.7748 (multiplicity 4)
F  0.1648  0.6501  0.1539 (multiplicity 4)
F  0.1670  0.6760  0.5280 (multiplicity 4)
F  0.1744  0.1737  0.3965 (multiplicity 4)
F  0.1865  0.0491  0.0794 (multiplicity 4)
F  0.1914  0.5544  0.8304 (multiplicity 4)

Peak list (10 most intense, 2θ = 10–90°, in order of rising 2θ)
d 5.040, 2θ 17.6, rel. 88, (0 2 0); d 3.814, 2θ 23.3, rel. 57, (2 0 0); d 3.546, 2θ 25.1, rel. 100, (0 1 2); d 3.041, 2θ 29.4, rel. 41, (2 2 0); d 2.597, 2θ 34.5, rel. 22, (2 1 2); d 2.270, 2θ 39.7, rel. 22, (3 2 0); d 2.101, 2θ 43.1, rel. 25, (2 4 0); d 1.680, 2θ 54.6, rel. 22, (4 1 2); d 1.613, 2θ 57.1, rel. 23, (2 5 2); d 1.520, 2θ 61.0, rel. 20, (4 3 2)